The following is a calculated powder diffractogram of KMnPCO7. It was derived from a crystal structure in Alexandria, relaxed with GGA+U, using CuKα.
Lines closer than 0.1° are merged.

Structural model:
Lattice parameters (Å, degrees): 5.2127 6.2123 10.4846 90.00 91.70 90.00
Positions (direct):
K  0.2373  0.0000  0.2841
K  0.7627  0.5000  0.7159
Mn  0.2197  0.0943  0.8623
Mn  0.7803  0.5943  0.1377
P  0.2796  0.5972  0.9441
P  0.7204  0.0972  0.0559
C  0.2972  0.1007  0.6357
C  0.7028  0.6007  0.3643
O  0.0672  0.1002  0.6863
O  0.1223  0.5995  0.0647
O  0.2140  0.7872  0.8520
O  0.2164  0.4042  0.8533
O  0.3392  0.1056  0.5208
O  0.4288  0.0952  0.0204
O  0.4783  0.0981  0.7281
O  0.5217  0.5981  0.2719
O  0.5712  0.5952  0.9796
O  0.6608  0.6056  0.4792
O  0.7836  0.9042  0.1467
O  0.7860  0.2872  0.1480
O  0.8777  0.0995  0.9353
O  0.9328  0.6002  0.3137

The 10 most intense peaks (10 to 90 degrees two-theta), in order of falling intensity:
| 2theta | I/Imax | (hkl) |
| --- | --- | --- |
| 28.74 | 100 | 0 2 0 |
| 22.27 | 82 | 1 1 0 |
| 23.71 | 79 | 1 0 -2 |
| 16.59 | 52 | 0 1 1 |
| 34.45 | 46 | 2 0 0 |
| 28.41 | 45 | 1 1 2 |
| 19.25 | 36 | 1 0 1 |
| 30.38 | 31 | 1 0 -3 |
| 24.45 | 25 | 1 0 2 |
| 44.60 | 23 | 0 3 1 |